The following is a simulated powder X-ray diffraction pattern of SrPb2IO6. It was derived from a structure optimized by DFT (GGA-PBE), using Cu Kα.
Intensities are scaled so that the largest is 1000.

The 12 most intense peaks (10 to 90 degrees two-theta), by intensity:
2theta  Rel. int.  h k l
29.15  1000  1 1 -3
28.92  852  1 1 1
27.35  427  0 2 0
30.78  421  2 0 -2
41.64  409  2 2 -2
45.75  229  1 3 0
41.40  191  0 0 4
53.86  186  3 1 -5
53.46  178  3 1 -1
16.97  162  0 1 1
50.34  159  0 2 4
20.47  134  1 1 -1

Crystal structure
```
20
Lattice="5.8094 0.0000 0.0000 0.0000 6.5222 0.0000 -5.7222 0.0000 8.7234" Properties=species:S:1:pos:R:3 pbc="T T T"
Sr 0.0000 0.0000 0.0000
Sr -2.8611 3.2611 4.3617
Pb -2.8902 0.3456 6.3187
Pb -0.0291 2.9155 1.9570
Pb 0.1164 3.6067 6.7664
Pb 2.9775 6.1767 2.4047
I 0.0436 0.0000 4.3617
I 2.9047 3.2611 0.0000
O -1.6997 1.0648 4.2116
O -4.5607 2.1963 8.5733
O -3.8628 4.8792 8.1184
O -1.0017 4.9041 3.7567
O 0.5361 0.4193 2.4274
O -2.3250 2.8418 6.7891
O 2.4123 3.6804 1.9343
O -0.4488 6.1029 6.2960
O 1.0890 1.6181 4.9667
O 3.9501 1.6430 0.6050
O 4.6480 4.3259 0.1501
O 1.7869 5.4574 4.5118
```